Diffraction record for Ti9Fe11O30. The powder diffractogram is computed, not measured: it uses DFT lattice parameters and positions (GGA+U) and CuKα.
Intensities are scaled so that the largest is 100.

Atomic structure:
```
Ti9Fe11O30
1.0
7.606 0.000 0.000
3.495 8.201 0.000
2.812 0.362 8.742
Ti Fe O
9 11 30
Direct
0.000 0.000 0.000
0.074 0.316 0.944
0.195 0.408 0.195
0.393 0.803 0.396
0.470 0.120 0.343
0.597 0.205 0.599
0.677 0.522 0.546
0.794 0.603 0.800
0.873 0.921 0.749
0.097 0.199 0.595
0.170 0.522 0.550
0.275 0.721 0.146
0.297 0.603 0.801
0.372 0.919 0.747
0.494 0.004 0.995
0.571 0.319 0.950
0.693 0.405 0.197
0.770 0.722 0.149
0.894 0.809 0.396
0.972 0.122 0.345
0.100 0.489 0.793
0.107 0.845 0.809
0.121 0.151 0.822
0.147 0.569 0.335
0.158 0.878 0.338
0.176 0.234 0.341
0.294 0.895 0.992
0.310 0.248 0.007
0.321 0.541 0.027
0.350 0.975 0.521
0.354 0.285 0.537
0.364 0.628 0.543
0.503 0.289 0.198
0.517 0.655 0.214
0.519 0.951 0.224
0.549 0.374 0.724
0.564 0.669 0.733
0.572 0.035 0.739
0.694 0.693 0.408
0.702 0.053 0.412
0.725 0.348 0.426
0.745 0.776 0.917
0.766 0.070 0.931
0.772 0.432 0.943
0.897 0.093 0.602
0.914 0.453 0.606
0.931 0.744 0.623
0.949 0.174 0.117
0.962 0.470 0.134
0.966 0.831 0.143
```

Main lines, sorted by position (2θ from 10° to 90°):
2theta, Rel. int.
23.51, 29.7
32.06, 47.6
32.19, 94.2
34.86, 100.0
39.81, 20.3
52.33, 21.8
52.51, 38.7
60.85, 21.8

Diffraction record for Ti9Fe11O30. The powder diffractogram is computed, not measured: it uses DFT lattice parameters and positions (GGA+U) and CuKα.
Intensities are scaled so that the largest is 100.

Atomic structure:
```
Ti9Fe11O30
1.0
5.159 0.000 0.000
2.557 4.937 0.000
0.117 1.951 21.222
Ti Fe O
9 11 30
Direct
0.000 0.000 0.000
0.007 0.015 0.141
0.110 0.824 0.446
0.203 0.588 0.602
0.392 0.214 0.349
0.489 0.023 0.641
0.595 0.815 0.944
0.610 0.794 0.802
0.697 0.609 0.244
0.094 0.805 0.300
0.193 0.616 0.745
0.300 0.404 0.900
0.301 0.409 0.045
0.403 0.198 0.203
0.506 0.983 0.504
0.705 0.603 0.103
0.797 0.409 0.543
0.812 0.405 0.402
0.895 0.205 0.703
0.903 0.213 0.843
0.058 0.306 0.623
0.065 0.152 0.481
0.101 0.577 0.385
0.102 0.445 0.260
0.149 0.302 0.126
0.159 0.046 0.363
0.251 0.902 0.217
0.252 0.155 0.981
0.258 0.777 0.088
0.343 0.661 0.966
0.352 0.029 0.859
0.379 0.906 0.722
0.444 0.777 0.590
0.446 0.379 0.681
0.448 0.520 0.820
0.505 0.654 0.464
0.512 0.251 0.566
0.575 0.498 0.317
0.630 0.985 0.286
0.640 0.094 0.418
0.664 0.375 0.189
0.747 0.868 0.166
0.756 0.102 0.929
0.760 0.221 0.062
0.840 0.718 0.017
0.842 0.593 0.886
0.860 0.953 0.780
0.911 0.840 0.654
0.930 0.463 0.764
0.974 0.712 0.523
```

Main lines, sorted by position (2θ from 10° to 90°):
2theta, Rel. int.
32.24, 69.4
32.37, 67.9
32.51, 67.0
34.76, 100.0
34.88, 47.8
48.13, 53.4
52.54, 53.4
62.47, 44.8

Diffraction record for TlFeO2. The powder diffractogram is computed, not measured: it uses DFT lattice parameters and positions (GGA+U) and CuKα.
Intensities are scaled so that the largest is 100.

Atomic structure:
```
TlFeO2
1.0
2.977 1.719 5.392
-2.977 1.719 5.392
0.000 -3.437 5.392
Tl Fe O
2 2 4
Direct
0.203 0.203 0.203
0.797 0.797 0.797
0.384 0.384 0.384
0.616 0.616 0.616
0.000 0.500 0.500
0.500 0.000 0.500
0.500 0.500 0.000
0.500 0.500 0.500
```

Main lines, sorted by position (2θ from 10° to 90°):
2theta, Rel. int.
20.43, 95.0
30.02, 100.0
32.68, 65.3
34.42, 39.5
44.96, 35.0
53.28, 30.1
55.01, 30.6
62.36, 31.5

Diffraction record for TlFeO3. The powder diffractogram is computed, not measured: it uses DFT lattice parameters and positions (GGA+U) and CuKα.
Intensities are scaled so that the largest is 100.

Atomic structure:
```
TlFeO3
1.0
5.546 0.000 0.000
0.000 7.929 0.000
0.000 0.000 5.403
Tl Fe O
4 4 12
Direct
0.050 0.250 0.018
0.450 0.750 0.518
0.550 0.250 0.482
0.950 0.750 0.982
0.000 0.000 0.500
0.000 0.500 0.500
0.500 0.000 0.000
0.500 0.500 0.000
0.053 0.750 0.388
0.200 0.561 0.803
0.200 0.939 0.803
0.300 0.061 0.303
0.300 0.439 0.303
0.447 0.250 0.888
0.553 0.750 0.112
0.700 0.561 0.697
0.700 0.939 0.697
0.800 0.061 0.197
0.800 0.439 0.197
0.947 0.250 0.612
```

Main lines, sorted by position (2θ from 10° to 90°):
2theta, Rel. int.
22.43, 16.1
22.98, 24.9
32.32, 100.0
33.16, 19.0
45.77, 11.1
46.96, 15.4
57.64, 18.5
58.72, 17.4

Diffraction record for TlFeO2. The powder diffractogram is computed, not measured: it uses DFT lattice parameters and positions (GGA+U) and CuKα.
Intensities are scaled so that the largest is 100.

Atomic structure:
```
TlFeO2
1.0
3.041 1.756 4.995
-3.041 1.756 4.995
0.000 -3.511 4.995
Tl Fe O
2 2 4
Direct
0.122 0.122 0.122
0.878 0.878 0.878
0.375 0.375 0.375
0.625 0.625 0.625
0.000 0.500 0.500
0.500 0.000 0.500
0.500 0.500 0.000
0.500 0.500 0.500
```

Main lines, sorted by position (2θ from 10° to 90°):
2theta, Rel. int.
17.83, 40.0
29.26, 100.0
29.37, 99.5
34.55, 35.8
41.93, 29.2
51.81, 20.1
52.05, 60.4
84.22, 20.2

Diffraction record for TlFeO2. The powder diffractogram is computed, not measured: it uses DFT lattice parameters and positions (GGA+U) and CuKα.
Intensities are scaled so that the largest is 100.

Atomic structure:
```
TlFeO2
1.0
3.042 1.756 4.999
-3.042 1.756 4.999
0.000 -3.513 4.999
Tl Fe O
2 2 4
Direct
0.122 0.122 0.122
0.878 0.878 0.878
0.375 0.375 0.375
0.625 0.625 0.625
0.000 0.500 0.500
0.500 0.000 0.500
0.500 0.500 0.000
0.500 0.500 0.500
```

Main lines, sorted by position (2θ from 10° to 90°):
2theta, Rel. int.
17.82, 39.9
29.24, 100.0
29.36, 99.4
34.53, 35.9
41.91, 29.2
51.76, 20.1
52.02, 60.4
84.18, 20.2

Diffraction record for V16FeO41. The powder diffractogram is computed, not measured: it uses DFT lattice parameters and positions (GGA+U) and CuKα.
Intensities are scaled so that the largest is 100.

Atomic structure:
```
V16FeO41
1.0
11.710 0.000 0.000
0.000 14.638 0.000
0.000 0.000 4.557
V Fe O
16 1 41
Direct
0.147 0.248 0.000
0.147 0.752 0.000
0.148 0.000 0.000
0.150 0.500 0.002
0.344 0.368 0.214
0.344 0.632 0.214
0.351 0.123 0.197
0.351 0.877 0.197
0.649 0.123 0.197
0.649 0.877 0.197
0.656 0.368 0.214
0.656 0.632 0.214
0.850 0.500 0.002
0.852 0.000 0.000
0.853 0.248 0.000
0.853 0.752 0.000
0.500 0.500 0.137
0.000 0.000 0.117
0.000 0.249 0.120
0.000 0.500 0.112
0.000 0.751 0.120
0.139 0.247 0.648
0.139 0.753 0.648
0.141 0.000 0.648
0.144 0.500 0.651
0.180 0.124 0.102
0.180 0.374 0.098
0.180 0.626 0.098
0.180 0.876 0.102
0.316 0.246 0.090
0.316 0.754 0.090
0.318 0.000 0.096
0.323 0.500 0.109
0.343 0.361 0.565
0.343 0.639 0.565
0.358 0.124 0.549
0.358 0.876 0.549
0.500 0.124 0.084
0.500 0.363 0.097
0.500 0.500 0.544
0.500 0.637 0.097
0.500 0.876 0.084
0.642 0.124 0.549
0.642 0.876 0.549
0.657 0.361 0.565
0.657 0.639 0.565
0.677 0.500 0.109
0.682 0.000 0.096
0.684 0.246 0.090
0.684 0.754 0.090
0.820 0.124 0.102
0.820 0.374 0.098
0.820 0.626 0.098
0.820 0.876 0.102
0.856 0.500 0.651
0.859 0.000 0.648
0.861 0.247 0.648
0.861 0.753 0.648
```

Main lines, sorted by position (2θ from 10° to 90°):
2theta, Rel. int.
15.13, 21.1
19.48, 100.0
20.92, 27.2
25.50, 48.7
30.15, 24.5
30.54, 23.1
31.35, 22.9
33.57, 31.3